Starting from a cell relaxed with GGA-PBE, the powder diffractogram of SrGeO3 was calculated for Cu Kα, 1.54184 Å.

Peak list (6 most intense, 2θ from 10° to 80°, low angle first)
32.8 deg, I 100, hkl 1 1 0; 40.5 deg, I 6, hkl 1 1 1; 47.1 deg, I 36, hkl 2 0 0; 58.6 deg, I 39, hkl 2 1 1; 68.9 deg, I 21, hkl 2 2 0; 78.4 deg, I 17, hkl 3 1 0

Structure:
Cell lengths 3.857, 3.857, 3.857 Å; angles 90.00, 90.00, 90.00 degrees
Fractional coordinates of all 5 atoms:
Sr: 0.000 0.000 0.000
Ge: 0.500 0.500 0.500
O: 0.000 0.500 0.500
O: 0.500 0.000 0.500
O: 0.500 0.500 0.000